Entry 1:
Starting from a DFT-relaxed cell (PBE, Alexandria), the X-ray powder pattern of CeHBr3 was computed for Cu Ka.
Kinematic intensities with the Lorentz-polarization factor, no thermal factor.

Main lines, sorted by position (15 to 90 degrees two-theta):
2θ = 19.43°, intensity 49.3
2θ = 21.75°, intensity 35.2
2θ = 25.51°, intensity 20.7
2θ = 28.70°, intensity 33.8
2θ = 29.33°, intensity 100.0
2θ = 36.25°, intensity 52.9
2θ = 37.95°, intensity 17.3
2θ = 39.45°, intensity 20.6
2θ = 46.21°, intensity 22.4
2θ = 47.25°, intensity 47.0

Structural model:
```
data_CeHBr3
_space_group_name_H-M_alt 'I m a 2'
_space_group_IT_number 46
_space_group_name_Hall 'I 2 -2a'
_cell_length_a 9.9261
_cell_length_b 9.1358
_cell_length_c 8.1709
_cell_angle_alpha 90.00
_cell_angle_beta 90.00
_cell_angle_gamma 90.00
loop_
_atom_site_label
_atom_site_type_symbol
_atom_site_fract_x
_atom_site_fract_y
_atom_site_fract_z
Ce1 Ce 0.2500 0.2501 0.0000
H1 H 0.2500 0.1577 0.2499
Br1 Br 0.0202 0.7500 0.0008
Br2 Br 0.2500 0.0268 0.7503
```

Entry 2:
Starting from a DFT-relaxed cell (PBE, Alexandria), the X-ray powder pattern of RbCeHg2Br8 was computed for Cu Ka.
Kinematic intensities with the Lorentz-polarization factor, no thermal factor.

Main lines, sorted by position (15 to 90 degrees two-theta):
2θ = 15.24°, intensity 69.2
2θ = 16.38°, intensity 64.5
2θ = 21.96°, intensity 42.4
2θ = 23.91°, intensity 42.7
2θ = 26.75°, intensity 45.6
2θ = 27.13°, intensity 33.4
2θ = 28.73°, intensity 100.0
2θ = 30.06°, intensity 59.0
2θ = 35.63°, intensity 54.7
2θ = 49.42°, intensity 37.3

Structural model:
```
data_RbCeHg2Br8
_space_group_name_H-M_alt 'P -1'
_space_group_IT_number 2
_space_group_name_Hall '-P 1'
_cell_length_a 6.9395
_cell_length_b 8.1147
_cell_length_c 10.1254
_cell_angle_alpha 112.31
_cell_angle_beta 93.06
_cell_angle_gamma 95.76
loop_
_atom_site_label
_atom_site_type_symbol
_atom_site_fract_x
_atom_site_fract_y
_atom_site_fract_z
Rb1 Rb 0.0000 0.0000 0.0000
Ce1 Ce 0.0000 0.0000 0.5000
Hg1 Hg 0.4370 0.2600 0.7999
Br1 Br 0.1645 0.7945 0.2350
Br2 Br 0.2306 0.8714 0.6752
Br3 Br 0.3159 0.3086 0.5722
Br4 Br 0.4323 0.2949 0.0606
```

Entry 3:
Starting from a DFT-relaxed cell (PBE, Alexandria), the X-ray powder pattern of CeI2Br was computed for Cu Ka.
Kinematic intensities with the Lorentz-polarization factor, no thermal factor.

Main lines, sorted by position (15 to 90 degrees two-theta):
2θ = 15.24°, intensity 81.9
2θ = 25.23°, intensity 100.0
2θ = 29.44°, intensity 21.4
2θ = 29.77°, intensity 23.2
2θ = 30.75°, intensity 35.2
2θ = 33.34°, intensity 33.5
2θ = 39.27°, intensity 18.0
2θ = 39.93°, intensity 25.1
2θ = 40.43°, intensity 27.6
2θ = 45.61°, intensity 17.6

Structural model:
```
data_CeI2Br
_space_group_name_H-M_alt 'P 1'
_space_group_IT_number 1
_space_group_name_Hall 'P 1'
_cell_length_a 4.5880
_cell_length_b 5.8166
_cell_length_c 8.5996
_cell_angle_alpha 88.96
_cell_angle_beta 74.59
_cell_angle_gamma 90.00
loop_
_atom_site_label
_atom_site_type_symbol
_atom_site_fract_x
_atom_site_fract_y
_atom_site_fract_z
Ce1 Ce 0.0000 0.0000 0.0000
I1 I 0.3692 0.9931 0.2619
I2 I 0.6304 0.0069 0.7380
Br1 Br 0.9984 0.5000 0.9999
```

Entry 4:
Starting from a DFT-relaxed cell (PBE, Alexandria), the X-ray powder pattern of CeIBr3 was computed for Cu Ka.
Kinematic intensities with the Lorentz-polarization factor, no thermal factor.

Main lines, sorted by position (15 to 90 degrees two-theta):
2θ = 17.49°, intensity 35.4
2θ = 26.91°, intensity 100.0
2θ = 27.21°, intensity 21.5
2θ = 28.46°, intensity 36.8
2θ = 34.73°, intensity 29.5
2θ = 41.14°, intensity 18.1
2θ = 41.26°, intensity 19.1
2θ = 43.56°, intensity 36.9
2θ = 45.79°, intensity 29.2
2θ = 56.08°, intensity 18.0

Structural model:
```
data_CeIBr3
_space_group_name_H-M_alt 'P m m a'
_space_group_IT_number 51
_space_group_name_Hall '-P 2a 2a'
_cell_length_a 10.1436
_cell_length_b 4.3760
_cell_length_c 9.8913
_cell_angle_alpha 90.00
_cell_angle_beta 90.00
_cell_angle_gamma 90.00
loop_
_atom_site_label
_atom_site_type_symbol
_atom_site_fract_x
_atom_site_fract_y
_atom_site_fract_z
Ce1 Ce 0.2500 0.0000 0.2281
I1 I 0.2500 0.0000 0.5238
Br1 Br 0.0633 0.5000 0.2311
Br2 Br 0.2500 0.0000 0.9571
```

Entry 5:
Starting from a DFT-relaxed cell (PBE, Alexandria), the X-ray powder pattern of K2CeI4Br2 was computed for Cu Ka.
Kinematic intensities with the Lorentz-polarization factor, no thermal factor.

Main lines, sorted by position (15 to 90 degrees two-theta):
2θ = 15.28°, intensity 39.6
2θ = 24.79°, intensity 78.7
2θ = 25.89°, intensity 66.2
2θ = 26.14°, intensity 65.4
2θ = 30.26°, intensity 100.0
2θ = 32.89°, intensity 26.1
2θ = 33.59°, intensity 35.5
2θ = 42.93°, intensity 32.5
2θ = 45.51°, intensity 35.0
2θ = 46.63°, intensity 30.7

Structural model:
```
data_K2CeI4Br2
_space_group_name_H-M_alt 'C 1 2/m 1'
_space_group_IT_number 12
_space_group_name_Hall '-C 2y'
_cell_length_a 13.9371
_cell_length_b 8.4289
_cell_length_c 8.2899
_cell_angle_alpha 90.00
_cell_angle_beta 123.70
_cell_angle_gamma 90.00
loop_
_atom_site_label
_atom_site_type_symbol
_atom_site_fract_x
_atom_site_fract_y
_atom_site_fract_z
K1 K 0.2377 0.0000 0.2274
Ce1 Ce 0.0000 0.0000 0.5000
I1 I 0.0514 0.2527 0.7998
Br1 Br 0.2311 0.0000 0.6220
```

Entry 6:
Starting from a DFT-relaxed cell (PBE, Alexandria), the X-ray powder pattern of K2CeI2Br4 was computed for Cu Ka.
Kinematic intensities with the Lorentz-polarization factor, no thermal factor.

Main lines, sorted by position (15 to 90 degrees two-theta):
2θ = 15.89°, intensity 60.7
2θ = 27.17°, intensity 100.0
2θ = 30.16°, intensity 44.0
2θ = 32.10°, intensity 75.2
2θ = 34.27°, intensity 18.2
2θ = 44.63°, intensity 58.2
2θ = 46.04°, intensity 27.3
2θ = 54.28°, intensity 26.9
2θ = 56.03°, intensity 29.1
2θ = 84.26°, intensity 18.2

Structural model:
```
data_K2CeI2Br4
_space_group_name_H-M_alt 'I 4/m m m'
_space_group_IT_number 139
_space_group_name_Hall '-I 4 2'
_cell_length_a 7.8859
_cell_length_b 7.8859
_cell_length_c 11.8508
_cell_angle_alpha 90.00
_cell_angle_beta 90.00
_cell_angle_gamma 90.00
loop_
_atom_site_label
_atom_site_type_symbol
_atom_site_fract_x
_atom_site_fract_y
_atom_site_fract_z
K1 K 0.0000 0.5000 0.2500
Ce1 Ce 0.0000 0.0000 0.0000
I1 I 0.0000 0.0000 0.2574
Br1 Br 0.2486 0.2486 0.0000
```